Structure and calculated powder diffractogram of Pr2Y3Er6Th (a structure optimized by DFT (PBE); CuKα).
Kinematic intensities with the Lorentz-polarization factor, no thermal factor.

Structure:
```
data_Pr2Y3Er6Th
_chemical_formula_sum 'Pr4 Y6 Er12 Th2'
_cell_length_a 6.1951
_cell_length_b 10.7187
_cell_length_c 11.7655
_cell_angle_alpha 90.00
_cell_angle_beta 100.10
_cell_angle_gamma 90.00
_space_group_name_H-M_alt 'C 1 2/m 1'
_space_group_IT_number 12
_space_group_name_Hall '-C 2y'
loop_
_atom_site_label
_atom_site_fract_x
_atom_site_fract_y
_atom_site_fract_z
Pr1 0.0000 0.1665 0.0000
Y1 0.0000 0.0000 0.5000
Y2 0.0000 0.3329 0.5000
Er1 0.2446 0.5000 0.7492
Er2 0.2490 0.3354 0.2505
Th1 0.0000 0.5000 0.0000
```

Largest 10 diffraction maxima, by angle, 2θ from 5° to 70°:
2θ = 7.6°, 11.583 Å, intensity 11.7
2θ = 30.7°, 2.916 Å, intensity 100.0
2θ = 30.9°, 2.896 Å, intensity 32.7
2θ = 35.6°, 2.521 Å, intensity 67.0
2θ = 51.1°, 1.787 Å, intensity 24.0
2θ = 51.4°, 1.778 Å, intensity 23.6
2θ = 60.8°, 1.522 Å, intensity 18.9
2θ = 60.9°, 1.521 Å, intensity 18.9
2θ = 61.2°, 1.515 Å, intensity 14.0
2θ = 63.8°, 1.458 Å, intensity 12.3


Structure and calculated powder diffractogram of AgI2Br6 (a structure optimized by DFT (PBE); CuKα).
Kinematic intensities with the Lorentz-polarization factor, no thermal factor.

Structure:
```
data_AgI2Br6
_chemical_formula_sum 'Ag4 I8 Br24'
_cell_length_a 12.6108
_cell_length_b 11.9804
_cell_length_c 10.3628
_cell_angle_alpha 90.00
_cell_angle_beta 104.62
_cell_angle_gamma 90.00
_space_group_name_H-M_alt 'C 1 2/c 1'
_space_group_IT_number 15
_space_group_name_Hall '-C 2yc'
loop_
_atom_site_label
_atom_site_fract_x
_atom_site_fract_y
_atom_site_fract_z
Ag1 0.0000 0.0608 0.2500
I1 0.1445 0.3459 0.1316
Br1 0.1081 0.1352 0.7827
Br2 0.1321 0.4609 0.9173
Br3 0.1497 0.2057 0.3584
```

Largest 10 diffraction maxima, by angle, 2θ from 5° to 70°:
2θ = 14.8°, 6.002 Å, intensity 54.5
2θ = 18.9°, 4.703 Å, intensity 100.0
2θ = 21.1°, 4.210 Å, intensity 73.8
2θ = 23.1°, 3.851 Å, intensity 48.6
2θ = 28.4°, 3.147 Å, intensity 65.2
2θ = 29.3°, 3.051 Å, intensity 54.4
2θ = 30.6°, 2.918 Å, intensity 47.5
2θ = 35.5°, 2.529 Å, intensity 52.8
2θ = 36.1°, 2.487 Å, intensity 46.2
2θ = 46.1°, 1.968 Å, intensity 61.5


Structure and calculated powder diffractogram of LiEr2Pb2 (a structure optimized by DFT (PBE); CuKα).
Kinematic intensities with the Lorentz-polarization factor, no thermal factor.

Structure:
```
data_LiEr2Pb2
_chemical_formula_sum 'Li4 Er8 Pb8'
_cell_length_a 6.5404
_cell_length_b 12.9415
_cell_length_c 6.3383
_cell_angle_alpha 90.00
_cell_angle_beta 90.00
_cell_angle_gamma 90.00
_space_group_name_H-M_alt 'I b a m'
_space_group_IT_number 72
_space_group_name_Hall '-I 2 2c'
loop_
_atom_site_label
_atom_site_fract_x
_atom_site_fract_y
_atom_site_fract_z
Li1 0.0000 0.0000 0.2500
Er1 0.2167 0.3592 0.0000
Pb1 0.2411 0.1176 0.0000
```

Largest 10 diffraction maxima, by angle, 2θ from 5° to 70°:
2θ = 27.3°, 3.270 Å, intensity 99.3
2θ = 27.6°, 3.235 Å, intensity 96.2
2θ = 28.2°, 3.169 Å, intensity 100.0
2θ = 34.0°, 2.637 Å, intensity 18.4
2θ = 39.2°, 2.300 Å, intensity 73.0
2θ = 39.6°, 2.276 Å, intensity 77.3
2θ = 39.8°, 2.264 Å, intensity 75.8
2θ = 48.9°, 1.861 Å, intensity 75.6
2θ = 65.5°, 1.426 Å, intensity 17.5
2θ = 65.6°, 1.423 Å, intensity 17.3


Structure and calculated powder diffractogram of NiTe3Mo (a structure optimized by DFT (PBE); CuKα).
Kinematic intensities with the Lorentz-polarization factor, no thermal factor.

Structure:
```
data_NiTe3Mo
_chemical_formula_sum 'Ni2 Te6 Mo2'
_cell_length_a 4.1011
_cell_length_b 8.6095
_cell_length_c 6.7178
_cell_angle_alpha 90.00
_cell_angle_beta 90.00
_cell_angle_gamma 90.00
_space_group_name_H-M_alt 'A m m 2'
_space_group_IT_number 38
_space_group_name_Hall 'A 2 -2'
loop_
_atom_site_label
_atom_site_fract_x
_atom_site_fract_y
_atom_site_fract_z
Ni1 0.0000 0.0000 0.0000
Te1 0.0000 0.0000 0.6246
Te2 0.5000 0.1837 0.0454
Mo1 0.5000 0.0000 0.3853
```

Largest 10 diffraction maxima, by angle, 2θ from 5° to 70°:
2θ = 26.5°, 3.359 Å, intensity 63.3
2θ = 27.5°, 3.243 Å, intensity 73.7
2θ = 30.1°, 2.969 Å, intensity 56.0
2θ = 34.0°, 2.639 Å, intensity 67.9
2θ = 40.6°, 2.225 Å, intensity 100.0
2θ = 40.7°, 2.219 Å, intensity 62.0
2θ = 41.7°, 2.167 Å, intensity 27.2
2θ = 44.2°, 2.051 Å, intensity 41.6
2θ = 47.4°, 1.916 Å, intensity 28.7
2θ = 56.8°, 1.620 Å, intensity 50.3


Structure and calculated powder diffractogram of La5Sm6Ho2 (a structure optimized by DFT (PBE); CuKα).
Kinematic intensities with the Lorentz-polarization factor, no thermal factor.

Structure:
```
data_La5Sm6Ho2
_chemical_formula_sum 'La10 Sm12 Ho4'
_cell_length_a 11.8273
_cell_length_b 21.0172
_cell_length_c 3.6650
_cell_angle_alpha 90.00
_cell_angle_beta 90.00
_cell_angle_gamma 90.00
_space_group_name_H-M_alt 'P b a m'
_space_group_IT_number 55
_space_group_name_Hall '-P 2 2ab'
loop_
_atom_site_label
_atom_site_fract_x
_atom_site_fract_y
_atom_site_fract_z
La1 0.0000 0.0000 0.0000
La2 0.0830 0.2718 0.0000
La3 0.1982 0.5510 0.0000
Sm1 0.0623 0.4182 0.5000
Sm2 0.0826 0.1309 0.5000
Sm3 0.1746 0.8595 0.0000
Ho1 0.1714 0.7099 0.5000
```

Largest 10 diffraction maxima, by angle, 2θ from 5° to 70°:
2θ = 30.5°, 2.928 Å, intensity 54.2
2θ = 30.7°, 2.912 Å, intensity 100.0
2θ = 31.1°, 2.876 Å, intensity 14.5
2θ = 31.4°, 2.847 Å, intensity 87.5
2θ = 33.4°, 2.679 Å, intensity 38.9
2θ = 34.2°, 2.619 Å, intensity 15.2
2θ = 35.8°, 2.506 Å, intensity 39.5
2θ = 49.8°, 1.833 Å, intensity 18.9
2θ = 59.5°, 1.553 Å, intensity 16.9
2θ = 59.6°, 1.551 Å, intensity 15.6


Structure and calculated powder diffractogram of Tm2AlB2Ir5 (a structure optimized by DFT (PBE); CuKα).
Kinematic intensities with the Lorentz-polarization factor, no thermal factor.

Structure:
```
data_Tm2AlB2Ir5
_chemical_formula_sum 'Tm4 Al2 B4 Ir10'
_cell_length_a 9.5663
_cell_length_b 9.5663
_cell_length_c 3.1203
_cell_angle_alpha 90.00
_cell_angle_beta 90.00
_cell_angle_gamma 90.00
_space_group_name_H-M_alt 'P 4/m b m'
_space_group_IT_number 127
_space_group_name_Hall '-P 4 2ab'
loop_
_atom_site_label
_atom_site_fract_x
_atom_site_fract_y
_atom_site_fract_z
Tm1 0.1770 0.3230 0.0000
Al1 0.0000 0.0000 0.0000
B1 0.1222 0.6222 0.0000
Ir1 0.0000 0.5000 0.5000
Ir2 0.0683 0.7819 0.5000
```

Largest 10 diffraction maxima, by angle, 2θ from 5° to 70°:
2θ = 28.6°, 3.120 Å, intensity 29.7
2θ = 33.8°, 2.653 Å, intensity 24.0
2θ = 35.6°, 2.521 Å, intensity 84.9
2θ = 38.8°, 2.320 Å, intensity 100.0
2θ = 39.3°, 2.293 Å, intensity 28.4
2θ = 40.0°, 2.255 Å, intensity 29.0
2θ = 41.6°, 2.172 Å, intensity 81.7
2θ = 42.2°, 2.139 Å, intensity 32.1
2θ = 44.8°, 2.021 Å, intensity 43.5
2θ = 69.8°, 1.348 Å, intensity 25.4


Structure and calculated powder diffractogram of TbHgGe (a structure optimized by DFT (PBE); CuKα).
Kinematic intensities with the Lorentz-polarization factor, no thermal factor.

Structure:
```
data_TbHgGe
_chemical_formula_sum 'Tb4 Hg4 Ge4'
_cell_length_a 4.3776
_cell_length_b 16.1982
_cell_length_c 4.0090
_cell_angle_alpha 90.00
_cell_angle_beta 90.00
_cell_angle_gamma 90.00
_space_group_name_H-M_alt 'C m c m'
_space_group_IT_number 63
_space_group_name_Hall '-C 2c 2'
loop_
_atom_site_label
_atom_site_fract_x
_atom_site_fract_y
_atom_site_fract_z
Tb1 0.0000 0.0922 0.2500
Hg1 0.0000 0.2665 0.7500
Ge1 0.0000 0.4432 0.2500
```

Largest 10 diffraction maxima, by angle, 2θ from 5° to 70°:
2θ = 10.9°, 8.099 Å, intensity 10.7
2θ = 24.8°, 3.593 Å, intensity 12.7
2θ = 33.2°, 2.700 Å, intensity 20.4
2θ = 34.4°, 2.604 Å, intensity 16.5
2θ = 34.6°, 2.593 Å, intensity 100.0
2θ = 41.3°, 2.188 Å, intensity 18.5
2θ = 45.2°, 2.004 Å, intensity 13.1
2θ = 50.5°, 1.807 Å, intensity 10.8
2θ = 53.9°, 1.700 Å, intensity 10.4
2θ = 62.9°, 1.478 Å, intensity 9.9


Structure and calculated powder diffractogram of CrGaH3 (a structure optimized by DFT (PBE); CuKα).
Kinematic intensities with the Lorentz-polarization factor, no thermal factor.

Structure:
```
data_CrGaH3
_chemical_formula_sum 'Cr1 Ga1 H3'
_cell_length_a 3.5266
_cell_length_b 3.5266
_cell_length_c 3.5266
_cell_angle_alpha 90.00
_cell_angle_beta 90.00
_cell_angle_gamma 90.00
_space_group_name_H-M_alt 'P m -3 m'
_space_group_IT_number 221
_space_group_name_Hall '-P 4 2 3'
loop_
_atom_site_label
_atom_site_fract_x
_atom_site_fract_y
_atom_site_fract_z
Cr1 0.0000 0.0000 0.0000
Ga1 0.5000 0.5000 0.5000
H1 0.0000 0.0000 0.5000
```

Largest 6 diffraction maxima, by angle, 2θ from 5° to 70°:
2θ = 25.3°, 3.527 Å, intensity 2.2
2θ = 36.0°, 2.494 Å, intensity 100.0
2θ = 44.5°, 2.036 Å, intensity 1.4
2θ = 51.9°, 1.763 Å, intensity 17.7
2θ = 58.5°, 1.577 Å, intensity 1.4
2θ = 64.8°, 1.440 Å, intensity 32.7